This entry pairs a crystal structure of CaH3Ir with its simulated XRD peak list. Radiation: λ = 1.5418 Å (Cu Kα). Structure: the GGA-PBE geometry in Alexandria.
Intensities are scaled so that the largest is 100.

Cell and atoms:
```
data_CaH3Ir
_chemical_formula_sum 'Ca4 H12 Ir4'
_cell_length_a 3.9337
_cell_length_b 12.0031
_cell_length_c 4.6855
_cell_angle_alpha 90.00
_cell_angle_beta 90.00
_cell_angle_gamma 90.00
_symmetry_space_group_name_H-M 'C 2 2 21'
_symmetry_Int_Tables_number 20
_symmetry_space_group_name_Hall 'C 2c 2'
loop_
_atom_site_label
_atom_site_fract_x
_atom_site_fract_y
_atom_site_fract_z
Ca1 0.0000 0.1324 0.2500
H1 0.0248 0.3109 0.4908
H2 0.1782 0.5000 0.5000
Ir1 0.0000 0.4100 0.2500
```

Peak list (10 most intense, 2θ from 10° to 90°, low angle first)
| Position (°2θ) | d (Å) | Rel. int. |
| --- | --- | --- |
| 14.8 | 6.002 | 30 |
| 23.8 | 3.738 | 61 |
| 24.1 | 3.693 | 55 |
| 29.8 | 3.001 | 26 |
| 30.6 | 2.922 | 67 |
| 35.5 | 2.527 | 30 |
| 37.4 | 2.407 | 100 |
| 38.4 | 2.343 | 26 |
| 45.7 | 1.985 | 22 |
| 79.6 | 1.204 | 19 |